1.
For Ce2MgSe4, DFT lattice parameters and positions (GGA-PBE) gives the computed X-ray powder pattern in this record (Cu Kα (weighted mean of Kα1 and Kα2)).
Neutral-atom scattering factors, no anomalous dispersion.

Crystal structure
Cell: 13.640 8.209 13.704 Å, 90.00 90.00 90.00°
Sites, in units of the cell vectors:
Ce  0.108  0.115  0.000
Ce  0.126  0.616  0.640
Ce  0.133  0.370  0.307
Ce  0.134  0.870  0.307
Ce  0.366  0.870  0.807
Ce  0.367  0.370  0.807
Ce  0.374  0.616  0.140
Ce  0.392  0.115  0.500
Ce  0.608  0.885  0.000
Ce  0.626  0.384  0.640
Ce  0.633  0.630  0.307
Ce  0.634  0.130  0.307
Ce  0.866  0.130  0.807
Ce  0.867  0.630  0.807
Ce  0.874  0.384  0.140
Ce  0.892  0.885  0.500
Mg  0.111  0.615  0.007
Mg  0.125  0.120  0.634
Mg  0.375  0.120  0.134
Mg  0.389  0.615  0.507
Mg  0.611  0.385  0.007
Mg  0.625  0.880  0.634
Mg  0.875  0.880  0.134
Mg  0.889  0.385  0.507
Se  0.011  0.119  0.194
Se  0.024  0.627  0.182
Se  0.028  0.619  0.443
Se  0.045  0.126  0.454
Se  0.209  0.119  0.812
Se  0.210  0.618  0.837
Se  0.232  0.866  0.087
Se  0.233  0.363  0.090
Se  0.267  0.363  0.590
Se  0.268  0.866  0.587
Se  0.290  0.618  0.337
Se  0.291  0.119  0.312
Se  0.455  0.126  0.954
Se  0.472  0.619  0.943
Se  0.476  0.627  0.682
Se  0.489  0.119  0.694
Se  0.511  0.881  0.194
Se  0.524  0.373  0.182
Se  0.528  0.381  0.443
Se  0.545  0.874  0.454
Se  0.709  0.881  0.812
Se  0.710  0.382  0.837
Se  0.732  0.134  0.087
Se  0.733  0.637  0.090
Se  0.767  0.637  0.590
Se  0.768  0.134  0.587
Se  0.790  0.382  0.337
Se  0.791  0.881  0.312
Se  0.955  0.874  0.954
Se  0.972  0.381  0.943
Se  0.976  0.373  0.682
Se  0.989  0.881  0.694

Largest 8 diffraction maxima, low angle first, 2θ = 10–80°:
- 2θ = 23.44°, 3.795 Å, intensity 36.6
- 2θ = 29.17°, 3.061 Å, intensity 45.6
- 2θ = 30.04°, 2.975 Å, intensity 100.0
- 2θ = 32.15°, 2.784 Å, intensity 69.0
- 2θ = 40.11°, 2.248 Å, intensity 37.9
- 2θ = 41.89°, 2.157 Å, intensity 28.9
- 2θ = 44.13°, 2.052 Å, intensity 29.7
- 2θ = 44.52°, 2.035 Å, intensity 48.4



2.
For Ce2MgSi2, DFT lattice parameters and positions (GGA-PBE) gives the computed X-ray powder pattern in this record (Cu Kα (weighted mean of Kα1 and Kα2)).
Neutral-atom scattering factors, no anomalous dispersion.

Crystal structure
Cell: 7.296 7.296 4.312 Å, 90.00 90.00 90.00°
Sites, in units of the cell vectors:
Ce  0.179  0.321  0.000
Ce  0.321  0.821  0.000
Ce  0.679  0.179  0.000
Ce  0.821  0.679  0.000
Mg  0.000  0.000  0.500
Mg  0.500  0.500  0.500
Si  0.116  0.616  0.500
Si  0.384  0.116  0.500
Si  0.616  0.884  0.500
Si  0.884  0.384  0.500

Largest 8 diffraction maxima, low angle first, 2θ = 10–80°:
- 2θ = 20.60°, 4.312 Å, intensity 30.8
- 2θ = 24.40°, 3.648 Å, intensity 22.8
- 2θ = 27.33°, 3.263 Å, intensity 41.2
- 2θ = 32.14°, 2.785 Å, intensity 47.9
- 2θ = 34.47°, 2.602 Å, intensity 100.0
- 2θ = 39.04°, 2.307 Å, intensity 18.1
- 2θ = 51.65°, 1.770 Å, intensity 18.8
- 2θ = 56.19°, 1.637 Å, intensity 25.5



3.
For CeMg6Si, DFT lattice parameters and positions (GGA-PBE) gives the computed X-ray powder pattern in this record (Cu Kα (weighted mean of Kα1 and Kα2)).
Neutral-atom scattering factors, no anomalous dispersion.

Crystal structure
Cell: 4.939 6.620 6.620 Å, 59.38 90.00 90.00°
Sites, in units of the cell vectors:
Ce  0.000  0.000  0.000
Mg  0.000  0.005  0.512
Mg  0.000  0.512  0.005
Mg  0.000  0.517  0.517
Mg  0.500  0.350  0.350
Mg  0.500  0.371  0.840
Mg  0.500  0.840  0.371
Si  0.500  0.852  0.852

Largest 8 diffraction maxima, low angle first, 2θ = 10–80°:
- 2θ = 15.41°, 5.751 Å, intensity 24.5
- 2θ = 15.55°, 5.697 Å, intensity 51.8
- 2θ = 23.81°, 3.737 Å, intensity 61.1
- 2θ = 31.40°, 2.849 Å, intensity 32.7
- 2θ = 32.57°, 2.750 Å, intensity 18.2
- 2θ = 36.15°, 2.485 Å, intensity 48.2
- 2θ = 36.40°, 2.468 Å, intensity 100.0
- 2θ = 48.81°, 1.866 Å, intensity 18.7



4.
For CeMg2Si2, DFT lattice parameters and positions (GGA-PBE) gives the computed X-ray powder pattern in this record (Cu Kα (weighted mean of Kα1 and Kα2)).
Neutral-atom scattering factors, no anomalous dispersion.

Crystal structure
Cell: 4.209 4.209 5.819 Å, 90.00 90.00 90.00°
Sites, in units of the cell vectors:
Ce  0.000  0.000  0.000
Mg  0.000  0.500  0.500
Mg  0.500  0.000  0.500
Si  0.500  0.500  0.197
Si  0.500  0.500  0.803

Largest 8 diffraction maxima, low angle first, 2θ = 10–80°:
- 2θ = 15.23°, 5.819 Å, intensity 44.3
- 2θ = 26.13°, 3.411 Å, intensity 64.0
- 2θ = 30.02°, 2.976 Å, intensity 33.1
- 2θ = 33.83°, 2.650 Å, intensity 100.0
- 2θ = 37.58°, 2.393 Å, intensity 57.8
- 2θ = 42.97°, 2.105 Å, intensity 35.5
- 2θ = 51.90°, 1.762 Å, intensity 23.3
- 2θ = 58.39°, 1.581 Å, intensity 31.6



5.
For Ce6Mg23Si, DFT lattice parameters and positions (GGA-PBE) gives the computed X-ray powder pattern in this record (Cu Kα (weighted mean of Kα1 and Kα2)).
Neutral-atom scattering factors, no anomalous dispersion.

Crystal structure
Cell: 10.232 10.232 10.232 Å, 60.00 60.00 60.00°
Sites, in units of the cell vectors:
Ce  0.204  0.204  0.796
Ce  0.204  0.796  0.204
Ce  0.204  0.796  0.796
Ce  0.796  0.204  0.204
Ce  0.796  0.204  0.796
Ce  0.796  0.796  0.204
Mg  0.000  0.000  0.500
Mg  0.000  0.500  0.000
Mg  0.000  0.500  0.500
Mg  0.137  0.621  0.621
Mg  0.171  0.171  0.171
Mg  0.171  0.171  0.487
Mg  0.171  0.487  0.171
Mg  0.379  0.379  0.379
Mg  0.379  0.379  0.863
Mg  0.379  0.863  0.379
Mg  0.487  0.171  0.171
Mg  0.500  0.000  0.000
Mg  0.500  0.000  0.500
Mg  0.500  0.500  0.000
Mg  0.500  0.500  0.500
Mg  0.513  0.829  0.829
Mg  0.621  0.137  0.621
Mg  0.621  0.621  0.137
Mg  0.621  0.621  0.621
Mg  0.829  0.513  0.829
Mg  0.829  0.829  0.513
Mg  0.829  0.829  0.829
Mg  0.863  0.379  0.379
Si  0.000  0.000  0.000

Largest 8 diffraction maxima, low angle first, 2θ = 10–80°:
- 2θ = 10.59°, 8.354 Å, intensity 29.5
- 2θ = 21.27°, 4.177 Å, intensity 49.0
- 2θ = 24.61°, 3.618 Å, intensity 33.3
- 2θ = 26.86°, 3.320 Å, intensity 29.6
- 2θ = 30.26°, 2.954 Å, intensity 32.6
- 2θ = 32.14°, 2.785 Å, intensity 100.0
- 2θ = 35.08°, 2.558 Å, intensity 69.2
- 2θ = 53.75°, 1.705 Å, intensity 29.4



6.
For CeMg6Si, DFT lattice parameters and positions (GGA-PBE) gives the computed X-ray powder pattern in this record (Cu Kα (weighted mean of Kα1 and Kα2)).
Neutral-atom scattering factors, no anomalous dispersion.

Crystal structure
Cell: 4.899 7.118 7.118 Å, 48.66 90.00 90.00°
Sites, in units of the cell vectors:
Ce  0.000  0.000  0.000
Mg  0.000  0.497  0.991
Mg  0.000  0.991  0.497
Mg  0.500  0.128  0.630
Mg  0.500  0.161  0.161
Mg  0.500  0.597  0.597
Mg  0.500  0.630  0.128
Si  0.000  0.440  0.440

Largest 8 diffraction maxima, low angle first, 2θ = 10–80°:
- 2θ = 13.65°, 6.486 Å, intensity 62.6
- 2θ = 16.59°, 5.344 Å, intensity 71.7
- 2θ = 24.65°, 3.611 Å, intensity 73.2
- 2θ = 31.53°, 2.837 Å, intensity 66.1
- 2θ = 33.13°, 2.704 Å, intensity 95.7
- 2θ = 33.54°, 2.672 Å, intensity 56.9
- 2θ = 36.69°, 2.449 Å, intensity 47.7
- 2θ = 38.37°, 2.346 Å, intensity 100.0



7.
For Ce6Mg23Sn, DFT lattice parameters and positions (GGA-PBE) gives the computed X-ray powder pattern in this record (Cu Kα (weighted mean of Kα1 and Kα2)).
Neutral-atom scattering factors, no anomalous dispersion.

Crystal structure
Cell: 10.244 10.244 10.244 Å, 60.00 60.00 60.00°
Sites, in units of the cell vectors:
Ce  0.218  0.218  0.782
Ce  0.218  0.782  0.218
Ce  0.218  0.782  0.782
Ce  0.782  0.218  0.218
Ce  0.782  0.218  0.782
Ce  0.782  0.782  0.218
Mg  0.000  0.000  0.500
Mg  0.000  0.500  0.000
Mg  0.000  0.500  0.500
Mg  0.136  0.621  0.621
Mg  0.169  0.169  0.169
Mg  0.169  0.169  0.493
Mg  0.169  0.493  0.169
Mg  0.379  0.379  0.379
Mg  0.379  0.379  0.864
Mg  0.379  0.864  0.379
Mg  0.493  0.169  0.169
Mg  0.500  0.000  0.000
Mg  0.500  0.000  0.500
Mg  0.500  0.500  0.000
Mg  0.500  0.500  0.500
Mg  0.507  0.831  0.831
Mg  0.621  0.136  0.621
Mg  0.621  0.621  0.136
Mg  0.621  0.621  0.621
Mg  0.831  0.507  0.831
Mg  0.831  0.831  0.507
Mg  0.831  0.831  0.831
Mg  0.864  0.379  0.379
Sn  0.000  0.000  0.000

Largest 8 diffraction maxima, low angle first, 2θ = 10–80°:
- 2θ = 10.58°, 8.364 Å, intensity 31.8
- 2θ = 12.22°, 7.244 Å, intensity 35.2
- 2θ = 21.24°, 4.182 Å, intensity 39.5
- 2θ = 24.58°, 3.622 Å, intensity 48.2
- 2θ = 27.53°, 3.240 Å, intensity 31.3
- 2θ = 32.10°, 2.788 Å, intensity 70.2
- 2θ = 35.04°, 2.561 Å, intensity 100.0
- 2θ = 66.79°, 1.401 Å, intensity 27.9



8.
For CeMgSn, DFT lattice parameters and positions (GGA-PBE) gives the computed X-ray powder pattern in this record (Cu Kα (weighted mean of Kα1 and Kα2)).
Neutral-atom scattering factors, no anomalous dispersion.

Crystal structure
Cell: 7.729 4.645 9.100 Å, 90.00 90.00 90.00°
Sites, in units of the cell vectors:
Ce  0.019  0.250  0.182
Ce  0.481  0.750  0.682
Ce  0.519  0.250  0.318
Ce  0.981  0.750  0.818
Mg  0.156  0.250  0.569
Mg  0.344  0.750  0.069
Mg  0.656  0.250  0.931
Mg  0.844  0.750  0.431
Sn  0.228  0.750  0.387
Sn  0.272  0.250  0.887
Sn  0.728  0.750  0.113
Sn  0.772  0.250  0.613

Largest 8 diffraction maxima, low angle first, 2θ = 10–80°:
- 2θ = 22.68°, 3.921 Å, intensity 18.5
- 2θ = 24.40°, 3.648 Å, intensity 23.9
- 2θ = 29.82°, 2.996 Å, intensity 41.2
- 2θ = 30.35°, 2.945 Å, intensity 14.4
- 2θ = 31.68°, 2.824 Å, intensity 100.0
- 2θ = 35.34°, 2.540 Å, intensity 21.2
- 2θ = 38.77°, 2.323 Å, intensity 24.1
- 2θ = 40.23°, 2.242 Å, intensity 12.2



9.
For CeMg6Sn, DFT lattice parameters and positions (GGA-PBE) gives the computed X-ray powder pattern in this record (Cu Kα (weighted mean of Kα1 and Kα2)).
Neutral-atom scattering factors, no anomalous dispersion.

Crystal structure
Cell: 5.216 6.760 6.760 Å, 56.40 90.00 90.00°
Sites, in units of the cell vectors:
Ce  0.000  0.000  0.000
Mg  0.000  0.496  0.998
Mg  0.000  0.998  0.496
Mg  0.500  0.148  0.652
Mg  0.500  0.162  0.162
Mg  0.500  0.652  0.148
Mg  0.500  0.652  0.652
Sn  0.000  0.488  0.488

Largest 8 diffraction maxima, low angle first, 2θ = 10–80°:
- 2θ = 14.87°, 5.957 Å, intensity 66.1
- 2θ = 17.00°, 5.216 Å, intensity 51.7
- 2θ = 22.66°, 3.924 Å, intensity 55.1
- 2θ = 31.79°, 2.815 Å, intensity 43.0
- 2θ = 34.38°, 2.608 Å, intensity 37.2
- 2θ = 34.68°, 2.587 Å, intensity 62.1
- 2θ = 36.26°, 2.477 Å, intensity 100.0
- 2θ = 47.52°, 1.913 Å, intensity 28.2



10.
For CeMg14Ti, DFT lattice parameters and positions (GGA-PBE) gives the computed X-ray powder pattern in this record (Cu Kα (weighted mean of Kα1 and Kα2)).
Neutral-atom scattering factors, no anomalous dispersion.

Crystal structure
Cell: 6.611 6.611 10.403 Å, 90.00 90.00 120.00°
Sites, in units of the cell vectors:
Ce  0.000  0.000  0.000
Mg  0.015  0.507  0.000
Mg  0.165  0.331  0.261
Mg  0.165  0.331  0.739
Mg  0.165  0.835  0.261
Mg  0.165  0.835  0.739
Mg  0.493  0.507  0.000
Mg  0.493  0.985  0.000
Mg  0.502  0.003  0.500
Mg  0.502  0.498  0.500
Mg  0.667  0.333  0.240
Mg  0.667  0.333  0.760
Mg  0.669  0.835  0.261
Mg  0.669  0.835  0.739
Mg  0.997  0.498  0.500
Ti  0.000  0.000  0.500

Largest 8 diffraction maxima, low angle first, 2θ = 10–80°:
- 2θ = 15.48°, 5.725 Å, intensity 32.4
- 2θ = 17.68°, 5.016 Å, intensity 18.8
- 2θ = 23.10°, 3.850 Å, intensity 24.5
- 2θ = 31.25°, 2.863 Å, intensity 28.3
- 2θ = 34.49°, 2.601 Å, intensity 23.7
- 2θ = 35.81°, 2.508 Å, intensity 100.0
- 2θ = 55.61°, 1.653 Å, intensity 17.5
- 2θ = 67.10°, 1.395 Å, intensity 18.8



11.
For CeMg6Ti, DFT lattice parameters and positions (GGA-PBE) gives the computed X-ray powder pattern in this record (Cu Kα (weighted mean of Kα1 and Kα2)).
Neutral-atom scattering factors, no anomalous dispersion.

Crystal structure
Cell: 5.208 6.669 6.669 Å, 53.73 90.00 90.00°
Sites, in units of the cell vectors:
Ce  0.000  0.000  0.000
Mg  0.000  0.498  0.996
Mg  0.000  0.996  0.498
Mg  0.500  0.157  0.644
Mg  0.500  0.159  0.159
Mg  0.500  0.634  0.634
Mg  0.500  0.644  0.157
Ti  0.000  0.488  0.488

Largest 8 diffraction maxima, low angle first, 2θ = 10–80°:
- 2θ = 14.89°, 5.949 Å, intensity 50.5
- 2θ = 17.03°, 5.208 Å, intensity 36.4
- 2θ = 22.69°, 3.919 Å, intensity 35.7
- 2θ = 23.79°, 3.741 Å, intensity 32.9
- 2θ = 33.33°, 2.689 Å, intensity 39.0
- 2θ = 34.43°, 2.605 Å, intensity 53.3
- 2θ = 34.73°, 2.583 Å, intensity 70.4
- 2θ = 37.66°, 2.389 Å, intensity 100.0